For Cr2CuO4, a GGA+U-relaxed structure gives the theoretical powder diffraction line list in this record (Cu Kα).
Peak positions follow from Bragg's law for the DFT cell and can differ from measured ones.

Main lines, by angle (15 to 90 degrees two-theta):
d 2.988, 29.90°, intensity 39; d 2.548, 35.22°, intensity 100; d 2.115, 42.75°, intensity 9; d 1.725, 53.09°, intensity 13; d 1.628, 56.54°, intensity 26; d 1.623, 56.70°, intensity 10; d 1.495, 62.06°, intensity 14; d 1.493, 62.17°, intensity 28; d 1.289, 73.48°, intensity 10; d 1.101, 88.88°, intensity 8

Structural model:
abc: 5.973 5.973 5.973
angles: 119.90 119.90 90.18
Element x y z (fractional)
Cr  0.000  0.000  0.000
Cr  0.000  0.000  0.500
Cr  0.000  0.500  0.000
Cr  0.500  0.000  0.500
Cu  0.375  0.625  0.750
Cu  0.625  0.375  0.250
O  0.214  0.238  0.975
O  0.237  0.762  0.475
O  0.238  0.214  0.475
O  0.238  0.763  0.025
O  0.762  0.237  0.975
O  0.762  0.786  0.525
O  0.763  0.238  0.525
O  0.786  0.762  0.025

---

For Li3TiCo3O8, a GGA+U-relaxed structure gives the theoretical powder diffraction line list in this record (Cu Kα).
Peak positions follow from Bragg's law for the DFT cell and can differ from measured ones.

Main lines, by angle (15 to 90 degrees two-theta):
d 4.860, 18.25°, intensity 100; d 2.427, 37.05°, intensity 38; d 2.331, 38.62°, intensity 10; d 2.039, 44.42°, intensity 62; d 1.881, 48.40°, intensity 11; d 1.590, 58.02°, intensity 14; d 1.465, 63.52°, intensity 17; d 1.421, 65.73°, intensity 16; d 1.364, 68.86°, intensity 12; d 1.166, 82.81°, intensity 7

Structural model:
abc: 5.864 5.864 5.864
angles: 57.96 57.96 57.96
Element x y z (fractional)
Li  0.000  0.500  0.500
Li  0.500  0.000  0.500
Li  0.500  0.500  0.000
Ti  0.500  0.500  0.500
Co  0.000  0.000  0.500
Co  0.000  0.500  0.000
Co  0.500  0.000  0.000
O  0.237  0.237  0.237
O  0.239  0.740  0.740
O  0.260  0.260  0.761
O  0.260  0.761  0.260
O  0.740  0.239  0.740
O  0.740  0.740  0.239
O  0.761  0.260  0.260
O  0.763  0.763  0.763